Structure and computed XRD peak list of FeAu4 (a DFT-relaxed cell (GGA-PBE, Alexandria); Cu Ka).
Kinematic intensities with the Lorentz-polarization factor, no thermal factor.

Peak list (10 most intense, 2θ from 15° to 90°, low angle first)
| d [Å] | 2θ/deg | Rel. int. |
| --- | --- | --- |
| 2.660 | 33.7 | 10 |
| 2.357 | 38.2 | 100 |
| 2.046 | 44.3 | 35 |
| 2.031 | 44.6 | 14 |
| 1.447 | 64.4 | 11 |
| 1.441 | 64.7 | 18 |
| 1.375 | 68.2 | 7 |
| 1.233 | 77.4 | 26 |
| 1.226 | 77.9 | 8 |
| 1.178 | 81.7 | 10 |

Cell and atoms:
Cell: 10.359 10.359 10.359 Å, 163.95 163.95 22.78°
Fractional positions:
Fe 0.000 0.000 0.000
Au 0.197 0.197 0.000
Au 0.410 0.410 0.000
Au 0.590 0.590 0.000
Au 0.803 0.803 0.000